Entry 1:
Starting from a DFT-relaxed cell (PBE, OQMD), the X-ray diffraction stick pattern of Nd2GdCo2C2N3 was calculated for Cu Kα (λ = 1.5418 Å).
Neutral-atom scattering factors, no anomalous dispersion.

Principal peaks in the range 2θ from 10° to 80°, in order of falling intensity:
| two_theta | intensity |
| --- | --- |
| 28.6 | 100.0 |
| 34.0 | 64.6 |
| 36.5 | 44.0 |
| 35.8 | 39.6 |
| 51.5 | 36.6 |
| 37.0 | 35.0 |
| 64.8 | 31.5 |
| 45.5 | 31.2 |
| 40.4 | 27.6 |
| 60.0 | 27.3 |

Crystal structure
```
10
Lattice="-1.7742 1.7742 9.8358 1.7742 -1.7742 9.8358 1.7742 1.7742 -9.8358" Properties=species:S:1:pos:R:3 pbc="T T T"
Nd 0.0000 0.0000 2.5295
Nd 0.0000 0.0000 17.1420
Gd 0.0000 0.0000 9.8358
Co 1.7742 0.0000 4.9179
Co 0.0000 1.7742 4.9179
C 0.0000 0.0000 6.0113
C 0.0000 0.0000 13.6603
N 0.0000 0.0000 0.0000
N 0.0000 0.0000 7.4285
N 0.0000 0.0000 12.2431
```

Entry 2:
Starting from a DFT-relaxed cell (PBE, OQMD), the X-ray diffraction stick pattern of Lu2FeB6 was calculated for Cu Kα (λ = 1.5418 Å).
Neutral-atom scattering factors, no anomalous dispersion.

Principal peaks in the range 2θ from 10° to 80°, in order of falling intensity:
| two_theta | intensity |
| --- | --- |
| 25.7 | 100.0 |
| 40.7 | 98.4 |
| 31.0 | 83.2 |
| 41.2 | 35.9 |
| 43.1 | 33.4 |
| 31.7 | 30.4 |
| 42.5 | 27.8 |
| 34.0 | 26.5 |
| 52.8 | 23.6 |
| 62.5 | 23.2 |

Crystal structure
```
36
Lattice="8.9564 0.0000 0.0000 0.0000 11.3032 0.0000 0.0000 0.0000 3.4702" Properties=species:S:1:pos:R:3 pbc="T T T"
Lu 0.5051 1.4592 0.0000
Lu 1.5815 4.6844 0.0000
Lu 2.8967 10.3360 0.0000
Lu 3.9731 7.1108 0.0000
Lu 4.9832 4.1924 0.0000
Lu 6.0597 0.9672 0.0000
Lu 7.3748 6.6187 0.0000
Lu 8.4513 9.8440 0.0000
Fe 1.2455 7.6805 0.0000
Fe 3.2327 2.0290 0.0000
Fe 5.7237 9.2742 0.0000
Fe 7.7109 3.6226 0.0000
B 0.1338 3.2572 1.7351
B 0.4854 6.4120 1.7351
B 0.9648 10.9696 1.7351
B 1.1861 9.2090 1.7351
B 1.8698 2.6465 1.7351
B 2.2174 6.5659 1.7351
B 2.2608 0.9143 1.7351
B 2.6084 8.2981 1.7351
B 3.2921 3.5574 1.7351
B 3.5134 5.3180 1.7351
B 3.9928 0.7604 1.7351
B 4.3444 8.9088 1.7351
B 4.6120 2.3944 1.7351
B 4.9635 10.5427 1.7351
B 5.4430 5.9852 1.7351
B 5.6643 7.7458 1.7351
B 6.3480 3.0051 1.7351
B 6.6956 10.3889 1.7351
B 6.7390 4.7373 1.7351
B 7.0866 8.6567 1.7351
B 7.7703 2.0942 1.7351
B 7.9916 0.3336 1.7351
B 8.4710 4.8912 1.7351
B 8.8226 8.0460 1.7351
```